Record 1
This entry pairs a crystal structure of BeAlH with its calculated powder diffractogram. Radiation: Cu Kα (weighted mean of Kα1 and Kα2). Structure: a cell relaxed with PBE.
Intensities are scaled so that the largest is 100.

Crystal structure
```
BeAlH
1.0
3.885 0.000 0.000
-1.941 3.517 0.000
-0.001 -0.195 4.526
Be Al H
2 2 2
direct
0.000 0.000 0.000 Be
0.345 0.692 0.128 Be
0.426 0.847 0.640 Al
0.681 0.365 0.223 Al
0.672 0.348 0.605 H
0.991 0.984 0.676 H
```

Principal peaks in the range 2θ from 10° to 80°, low angle first:
Position (°2θ)	d (Å)	I/Imax
26.21	3.400	94.3
31.56	2.835	68.8
32.94	2.719	48.0
33.29	2.692	100.0
39.83	2.263	35.3
45.20	2.006	49.3
46.77	1.942	43.7
47.82	1.902	53.9


Record 2
This entry pairs a crystal structure of BeAlH with its calculated powder diffractogram. Radiation: Cu Kα (weighted mean of Kα1 and Kα2). Structure: a cell relaxed with PBE.
Intensities are scaled so that the largest is 100.

Crystal structure
```
BeAlH
1.0
4.166 0.000 0.000
0.000 2.249 3.690
0.000 -2.249 3.690
Be Al H
2 2 2
direct
0.250 0.144 0.856 Be
0.750 0.856 0.144 Be
0.250 0.533 0.190 Al
0.750 0.190 0.533 Al
0.250 0.493 0.813 H
0.750 0.813 0.493 H
```

Principal peaks in the range 2θ from 10° to 80°, low angle first:
Position (°2θ)	d (Å)	I/Imax
23.16	3.840	25.3
24.12	3.690	70.7
31.69	2.824	100.0
43.45	2.083	25.0
45.86	1.979	27.0
47.45	1.916	49.0
50.31	1.814	18.4
52.47	1.744	26.0


Record 3
This entry pairs a crystal structure of Be2AlH8 with its calculated powder diffractogram. Radiation: Cu Kα (weighted mean of Kα1 and Kα2). Structure: a cell relaxed with PBE.
Intensities are scaled so that the largest is 100.

Crystal structure
```
Be2AlH8
1.0
5.547 -2.761 0.000
5.547 2.761 0.000
-4.933 0.000 6.318
Be Al H
4 2 16
direct
0.177 0.795 0.501 Be
0.205 0.823 0.999 Be
0.795 0.177 0.001 Be
0.823 0.205 0.499 Be
0.467 0.533 0.750 Al
0.533 0.467 0.250 Al
0.089 0.132 0.044 H
0.132 0.089 0.544 H
0.178 0.595 0.795 H
0.188 0.543 0.512 H
0.229 0.624 0.303 H
0.376 0.771 0.197 H
0.405 0.822 0.705 H
0.457 0.812 0.988 H
0.543 0.188 0.012 H
0.595 0.178 0.295 H
0.624 0.229 0.803 H
0.771 0.376 0.697 H
0.812 0.457 0.488 H
0.822 0.405 0.205 H
0.868 0.911 0.456 H
0.911 0.868 0.956 H
```

Principal peaks in the range 2θ from 10° to 80°, low angle first:
Position (°2θ)	d (Å)	I/Imax
19.01	4.669	54.8
20.31	4.372	100.0
28.44	3.139	49.3
30.58	2.923	33.0
34.80	2.578	11.8
39.34	2.290	17.3
39.76	2.267	16.7
46.52	1.952	13.1


Record 4
This entry pairs a crystal structure of HfBe17Al with its calculated powder diffractogram. Radiation: Cu Kα (weighted mean of Kα1 and Kα2). Structure: a cell relaxed with PBE.
Intensities are scaled so that the largest is 100.

Crystal structure
```
HfBe17Al
1.0
3.718 2.147 3.619
-3.718 2.147 3.619
0.000 -4.293 3.619
Hf Be Al
1 17 1
direct
0.000 0.000 0.000 Hf
0.043 0.343 0.632 Be
0.043 0.632 0.343 Be
0.182 0.683 0.683 Be
0.240 0.240 0.240 Be
0.330 0.330 0.843 Be
0.330 0.843 0.330 Be
0.343 0.043 0.632 Be
0.343 0.632 0.043 Be
0.440 0.440 0.440 Be
0.498 0.997 0.997 Be
0.632 0.043 0.343 Be
0.632 0.343 0.043 Be
0.683 0.182 0.683 Be
0.683 0.683 0.182 Be
0.843 0.330 0.330 Be
0.997 0.498 0.997 Be
0.997 0.997 0.498 Be
0.707 0.707 0.707 Al
```

Principal peaks in the range 2θ from 10° to 80°, low angle first:
Position (°2θ)	d (Å)	I/Imax
16.00	5.539	100.0
21.41	4.150	43.9
23.93	3.718	49.0
28.92	3.087	27.7
34.59	2.593	46.0
37.88	2.375	26.5
49.36	1.846	25.6
50.37	1.811	21.4


Record 5
This entry pairs a crystal structure of BeAlHg2 with its calculated powder diffractogram. Radiation: Cu Kα (weighted mean of Kα1 and Kα2). Structure: a cell relaxed with PBE.
Intensities are scaled so that the largest is 100.

Crystal structure
```
BeAlHg2
1.0
3.892 0.000 0.000
0.000 4.300 0.000
-1.181 0.000 4.748
Be Al Hg
1 1 2
direct
0.000 0.000 0.000 Be
0.693 0.500 0.774 Al
0.344 0.500 0.201 Hg
0.943 0.000 0.488 Hg
```

Principal peaks in the range 2θ from 10° to 80°, low angle first:
Position (°2θ)	d (Å)	I/Imax
18.69	4.748	49.7
28.00	3.187	71.8
31.53	2.838	86.5
33.72	2.658	100.0
39.67	2.272	28.3
42.03	2.150	26.1
43.55	2.078	43.7
54.91	1.672	20.2


Record 6
This entry pairs a crystal structure of BeAlHg with its calculated powder diffractogram. Radiation: Cu Kα (weighted mean of Kα1 and Kα2). Structure: a cell relaxed with PBE.
Intensities are scaled so that the largest is 100.

Crystal structure
```
BeAlHg
1.0
3.646 0.000 0.000
0.000 3.646 0.000
-0.666 0.000 7.505
Be Al Hg
2 2 2
direct
0.017 0.250 0.075 Be
0.983 0.750 0.925 Be
0.470 0.250 0.855 Al
0.530 0.750 0.145 Al
0.233 0.250 0.392 Hg
0.767 0.750 0.608 Hg
```

Principal peaks in the range 2θ from 10° to 80°, low angle first:
Position (°2θ)	d (Å)	I/Imax
11.79	7.505	100.0
27.19	3.279	21.0
28.23	3.162	18.5
32.76	2.733	19.5
34.29	2.615	48.0
34.87	2.573	40.9
35.90	2.502	22.7
36.19	2.482	31.3